Ce2Pu2Ru3: theoretical X-ray diffraction stick pattern (CuKα), based on a PBE-relaxed structure.

Atomic structure:
```
data_Ce2Pu2Ru3
_cell_length_a 3.960
_cell_length_b 5.109
_cell_length_c 7.545
_cell_angle_alpha 84.43
_cell_angle_beta 84.15
_cell_angle_gamma 78.04
_symmetry_space_group_name_H-M 'P -1'
_symmetry_Int_Tables_number 2
loop_
_symmetry_equiv_pos_as_xyz
'x,y,z'
'-x,-y,-z'
loop_
_atom_site_label
_atom_site_type_symbol
_atom_site_fract_x
_atom_site_fract_y
_atom_site_fract_z
Ce1 Ce 0.226 0.232 0.129
Pu1 Pu 0.221 0.617 0.458
Ru1 Ru 0.254 0.254 0.822
Ru2 Ru 0.500 0.000 0.500
```

Largest 8 diffraction maxima, in order of falling intensity, 15° ≤ 2θ ≤ 90°:
2θ = 36.0°, d 2.494, intensity 100, (0 0 3); 2θ = 34.1°, d 2.632, intensity 96, (1 -1 1); 2θ = 47.1°, d 1.929, intensity 61, (2 0 0); 2θ = 34.5°, d 2.603, intensity 60, (-1 1 1); 2θ = 20.6°, d 4.305, intensity 48, (0 1 1); 2θ = 28.7°, d 3.111, intensity 47, (0 1 2); 2θ = 38.9°, d 2.314, intensity 46, (1 2 0); 2θ = 23.8°, d 3.742, intensity 46, (0 0 2)

LiTb3Pm4Se8: theoretical X-ray diffraction stick pattern (CuKα), based on a PBE-relaxed structure.

Atomic structure:
```
data_LiTb3Pm4Se8
_cell_length_a 8.2459
_cell_length_b 8.2459
_cell_length_c 20.3336
_cell_angle_alpha 90.00
_cell_angle_beta 90.00
_cell_angle_gamma 120.00
_symmetry_space_group_name_H-M 'R -3 m'
_symmetry_Int_Tables_number 166
_symmetry_space_group_name_Hall '-R 3 2"'
loop_
_atom_site_label
_atom_site_type_symbol
_atom_site_fract_x
_atom_site_fract_y
_atom_site_fract_z
Li1 Li 0.0000 0.0000 0.0000
Tb1 Tb 0.0000 0.5000 0.0000
Pm1 Pm 0.0000 0.0000 0.5000
Pm2 Pm 0.0000 0.5000 0.5000
Se1 Se 0.0000 0.0000 0.2530
Se2 Se 0.0069 0.5035 0.7453
```

Largest 8 diffraction maxima, in order of falling intensity, 15° ≤ 2θ ≤ 90°:
2θ = 30.6°, d 2.922, intensity 100, (0 2 4); 2θ = 43.9°, d 2.061, intensity 37, (2 2 0); 2θ = 43.7°, d 2.071, intensity 37, (2 0 8); 2θ = 54.5°, d 1.684, intensity 19, (4 0 4); 2θ = 72.5°, d 1.304, intensity 16, (2 4 4); 2θ = 72.2°, d 1.309, intensity 16, (2 2 12); 2θ = 80.6°, d 1.192, intensity 12, (4 2 8); 2θ = 63.7°, d 1.461, intensity 12, (0 4 8)

Tb2Tl3Cd3: theoretical X-ray diffraction stick pattern (CuKα), based on a PBE-relaxed structure.

Atomic structure:
```
data_Tb2Tl3Cd3
_cell_length_a 4.649
_cell_length_b 4.766
_cell_length_c 9.132
_cell_angle_alpha 90.00
_cell_angle_beta 90.00
_cell_angle_gamma 90.00
_symmetry_space_group_name_H-M 'P m m m'
_symmetry_Int_Tables_number 47
loop_
_symmetry_equiv_pos_as_xyz
'x,y,z'
'-x,-y,-z'
'-x,-y,z'
'x,y,-z'
'x,-y,-z'
'-x,y,z'
'-x,y,-z'
'x,-y,z'
loop_
_atom_site_label
_atom_site_type_symbol
_atom_site_fract_x
_atom_site_fract_y
_atom_site_fract_z
Tb1 Tb 0.000 0.000 0.249
Tl1 Tl 0.000 0.500 0.000
Tl2 Tl 0.500 0.000 0.000
Tl3 Tl 0.500 0.000 0.500
Cd1 Cd 0.000 0.500 0.500
Cd2 Cd 0.500 0.500 0.259
```

Largest 8 diffraction maxima, in order of falling intensity, 15° ≤ 2θ ≤ 90°:
2θ = 33.3°, d 2.689, intensity 100, (1 1 2); 2θ = 37.7°, d 2.383, intensity 18, (0 2 0); 2θ = 38.7°, d 2.325, intensity 17, (2 0 0); 2θ = 39.5°, d 2.283, intensity 16, (0 0 4); 2θ = 65.3°, d 1.428, intensity 14, (1 3 2); 2θ = 66.7°, d 1.403, intensity 13, (3 1 2); 2θ = 67.7°, d 1.384, intensity 13, (1 1 6); 2θ = 55.2°, d 1.664, intensity 12, (2 2 0)